Entry 1:
The following is a computed PXRD pattern of LaSmSc2Ge2. It was derived from a DFT-relaxed cell (GGA-PBE, OQMD), using λ = 1.5418 Å (Cu Kα).
Neutral-atom scattering factors, no anomalous dispersion.

Structural model:
```
LaSmSc2Ge2
1.0
-2.1638 2.1638 8.0315
2.1638 -2.1638 8.0315
2.1638 2.1638 -8.0315
La Sm Sc Ge
1 1 2 2
Direct
0.0000 0.0000 0.0000
0.6476 0.6476 0.0000
0.3215 0.8215 0.5000
0.8215 0.3215 0.5000
0.2011 0.2011 0.0000
0.4440 0.4440 0.0000
```

Main lines, sorted by position (10° ≤ 2θ ≤ 90°):
2θ/deg  Rel. int.
26.48  63
29.18  89
31.28  81
33.47  29
34.78  100
36.93  81
41.74  77
55.42  52
55.71  33
71.97  30

Entry 2:
The following is a computed PXRD pattern of TaSi3. It was derived from a DFT-relaxed cell (GGA-PBE, OQMD), using λ = 1.5418 Å (Cu Kα).
Neutral-atom scattering factors, no anomalous dispersion.

Structural model:
```
TaSi3
1.0
-4.8751 4.8751 2.5249
4.8751 -4.8751 2.5249
4.8751 4.8751 -2.5249
Ta Si
4 12
Direct
0.1597 0.4579 0.6296
0.4699 0.8403 0.2982
0.5421 0.1717 0.7018
0.8283 0.5301 0.3704
0.0424 0.7415 0.7595
0.0587 0.4815 0.9567
0.2222 0.2057 0.8229
0.2585 0.0180 0.3009
0.3829 0.3994 0.1771
0.5185 0.4752 0.5772
0.5248 0.1020 0.0433
0.6006 0.7778 0.9835
0.7171 0.9576 0.6991
0.7943 0.6171 0.0165
0.8980 0.9413 0.4228
0.9820 0.2829 0.2405
```

Main lines, sorted by position (10° ≤ 2θ ≤ 90°):
2θ/deg  Rel. int.
12.84  100
27.02  97
28.96  33
32.77  89
37.74  48
37.95  38
39.20  36
41.42  47
42.20  48
47.55  33

Entry 3:
The following is a computed PXRD pattern of Hf4Al3Mo2N3. It was derived from a DFT-relaxed cell (GGA-PBE, OQMD), using λ = 1.5418 Å (Cu Kα).
Neutral-atom scattering factors, no anomalous dispersion.

Structural model:
```
Hf4Al3Mo2N3
1.0
4.6620 -2.7080 0.0000
4.6620 2.7080 0.0000
-3.0632 0.0000 13.9487
Hf Al Mo N
8 6 4 6
Direct
0.0266 0.2024 0.0925
0.1431 0.3013 0.4077
0.2024 0.0266 0.5925
0.3013 0.1431 0.9077
0.6987 0.8569 0.0923
0.7976 0.9734 0.4075
0.8569 0.6987 0.5923
0.9734 0.7976 0.9075
0.1244 0.8756 0.2500
0.2869 0.4188 0.7490
0.4188 0.2869 0.2490
0.5812 0.7131 0.7510
0.7131 0.5812 0.2510
0.8756 0.1244 0.7500
0.3762 0.5280 0.0888
0.4720 0.6238 0.4112
0.5280 0.3762 0.5888
0.6238 0.4720 0.9112
0.0000 0.5000 0.0000
0.1494 0.6758 0.5000
0.3242 0.8506 0.0000
0.5000 0.0000 0.5000
0.6758 0.1494 0.0000
0.8506 0.3242 0.5000
```

Main lines, sorted by position (10° ≤ 2θ ≤ 90°):
2θ/deg  Rel. int.
12.69  55
25.55  27
33.24  20
33.87  26
38.52  100
38.68  77
51.84  16
59.19  20
69.93  14
73.05  16

Entry 4:
The following is a computed PXRD pattern of Li3SmHo2Sn3. It was derived from a DFT-relaxed cell (GGA-PBE, OQMD), using λ = 1.5418 Å (Cu Kα).
Neutral-atom scattering factors, no anomalous dispersion.

Structural model:
```
Li3SmHo2Sn3
1.0
4.7057 0.0000 0.0000
-2.3529 4.0753 0.0000
0.0000 0.0000 10.9323
Li Sm Ho Sn
3 1 2 3
Direct
0.0000 0.0000 0.0000
0.3333 0.6667 0.3035
0.3333 0.6667 0.6965
0.6667 0.3333 0.5000
0.6667 0.3333 0.1618
0.6667 0.3333 0.8382
0.0000 0.0000 0.3226
0.0000 0.0000 0.6774
0.3333 0.6667 0.0000
```

Main lines, sorted by position (10° ≤ 2θ ≤ 90°):
2θ/deg  Rel. int.
21.81  29
23.29  19
27.30  18
32.97  100
38.25  55
51.38  29
64.71  22
65.83  28
69.16  12
81.89  9